(1)
# La2SmTl2Zn2
Theoretical XRD peak list, CuKα. Input: DFT lattice parameters and positions (PBE).

Structural model:
a = 4.7273 Å, b = 4.7273 Å, c = 28.3981 Å
α = 90.00°, β = 90.00°, γ = 120.00°
Space group R-3m (No. 166, hexagonal axes)
Asymmetric unit:
La 0.0000 0.0000 0.1380 x6
Sm 0.0000 0.0000 0.0000 x3
Tl 0.0000 0.0000 0.2702 x6
Zn 0.0000 0.0000 0.4158 x6

Main lines, by angle (2θ = 5–70°):
- 22.60°, rel. 13
- 31.03°, rel. 100
- 33.41°, rel. 30
- 38.07°, rel. 75
- 48.07°, rel. 12
- 49.90°, rel. 27
- 50.19°, rel. 11
- 62.90°, rel. 23
- 64.45°, rel. 25
- 68.79°, rel. 13



(2)
# La3Sm2Tm4
Theoretical XRD peak list, CuKα. Input: DFT lattice parameters and positions (PBE).

Structural model:
a = 9.907 Å, b = 17.181 Å, c = 3.510 Å
α = 90.00°, β = 90.00°, γ = 90.00°
Space group Cmmm (No. 65)
Asymmetric unit:
La 0.000 0.000 0.000 x2
La 0.000 0.327 0.000 x4
Sm 0.165 0.500 0.500 x4
Tm 0.167 0.166 0.500 x8

Main lines, by angle (2θ = 5–70°):
- 25.37°, rel. 5
- 31.24°, rel. 100
- 40.68°, rel. 9
- 44.77°, rel. 17
- 52.11°, rel. 4
- 55.61°, rel. 25
- 55.66°, rel. 4
- 62.04°, rel. 17
- 65.16°, rel. 2
- 65.22°, rel. 4



(3)
# La4Sm6Tm
Theoretical XRD peak list, CuKα. Input: DFT lattice parameters and positions (PBE).

Structural model:
a = 6.722 Å, b = 6.722 Å, c = 17.117 Å
α = 90.00°, β = 90.00°, γ = 90.00°
Space group I-42m (No. 121)
Asymmetric unit:
La 0.167 0.167 0.372 x8
Sm 0.000 0.500 0.000 x4
Sm 0.186 0.186 0.176 x8
Tm 0.000 0.000 0.000 x2

Main lines, by angle (2θ = 5–70°):
- 28.06°, rel. 38
- 28.53°, rel. 66
- 29.28°, rel. 31
- 30.18°, rel. 100
- 31.36°, rel. 29
- 33.91°, rel. 59
- 37.86°, rel. 24
- 39.91°, rel. 36
- 49.95°, rel. 22
- 56.72°, rel. 25



(4)
# La8SmTm3
Theoretical XRD peak list, CuKα. Input: DFT lattice parameters and positions (PBE).

Structural model:
a = 15.864 Å, b = 8.926 Å, c = 6.418 Å
α = 90.00°, β = 113.29°, γ = 90.00°
Space group C2 (No. 5)
Asymmetric unit:
La 0.070 0.000 0.319 x4
La 0.128 0.370 0.636 x4
La 0.175 0.009 0.929 x4
La 0.249 0.760 0.642 x4
Sm 0.000 0.315 0.000 x2
Tm 0.000 0.689 0.500 x2
Tm 0.120 0.646 0.096 x4

Main lines, by angle (2θ = 5–70°):
- 25.06°, rel. 24
- 29.81°, rel. 71
- 30.05°, rel. 75
- 30.17°, rel. 44
- 30.29°, rel. 41
- 30.48°, rel. 35
- 30.66°, rel. 100
- 33.19°, rel. 19
- 34.42°, rel. 36
- 49.77°, rel. 16



(5)
# La6Sm5Tm
Theoretical XRD peak list, CuKα. Input: DFT lattice parameters and positions (PBE).

Structural model:
a = 5.236 Å, b = 15.788 Å, c = 10.169 Å
α = 90.00°, β = 90.08°, γ = 90.00°
Space group C2/m (No. 12)
Asymmetric unit:
La 0.000 0.000 0.248 x4
La 0.000 0.334 0.249 x8
Sm 0.000 0.166 0.000 x4
Sm 0.000 0.167 0.500 x4
Sm 0.000 0.500 0.500 x2
Tm 0.000 0.500 0.000 x2

Main lines, by angle (2θ = 5–70°):
- 29.80°, rel. 100
- 34.07°, rel. 18
- 34.25°, rel. 17
- 35.31°, rel. 16
- 49.09°, rel. 13
- 49.91°, rel. 18
- 58.37°, rel. 15
- 58.61°, rel. 15
- 60.01°, rel. 14
- 61.90°, rel. 12



(6)
# La7SmTm12
Theoretical XRD peak list, CuKα. Input: DFT lattice parameters and positions (PBE).

Structural model:
a = 11.284 Å, b = 11.284 Å, c = 11.284 Å
α = 90.00°, β = 90.00°, γ = 90.00°
Space group Im-3m (No. 229)
Asymmetric unit:
La 0.000 0.000 0.500 x6
La 0.250 0.250 0.250 x8
Sm 0.000 0.000 0.000 x2
Tm 0.000 0.247 0.247 x24

Main lines, by angle (2θ = 5–70°):
- 15.71°, rel. 24
- 22.28°, rel. 10
- 27.38°, rel. 82
- 31.72°, rel. 100
- 35.58°, rel. 13
- 45.47°, rel. 74
- 48.40°, rel. 7
- 53.90°, rel. 38
- 56.50°, rel. 26
- 66.26°, rel. 12



(7)
# La6Sm3Tm
Theoretical XRD peak list, CuKα. Input: DFT lattice parameters and positions (PBE).

Structural model:
a = 11.978 Å, b = 3.627 Å, c = 17.299 Å
α = 90.00°, β = 108.76°, γ = 90.00°
Space group P2_1/m (No. 11)
Asymmetric unit:
La 0.100 0.250 0.458 x2
La 0.133 0.250 0.089 x2
La 0.138 0.250 0.882 x2
La 0.348 0.750 0.606 x2
La 0.371 0.750 0.824 x2
La 0.398 0.750 0.241 x2
Sm 0.131 0.750 0.285 x2
Sm 0.374 0.250 0.424 x2
Sm 0.383 0.750 0.031 x2
Tm 0.142 0.250 0.677 x2

Main lines, by angle (2θ = 5–70°):
- 29.23°, rel. 70
- 29.57°, rel. 33
- 29.80°, rel. 100
- 30.74°, rel. 90
- 31.55°, rel. 76
- 32.99°, rel. 40
- 33.44°, rel. 35
- 33.54°, rel. 27
- 35.88°, rel. 39
- 59.57°, rel. 28



(8)
# LaSm12Tm6
Theoretical XRD peak list, CuKα. Input: DFT lattice parameters and positions (PBE).

Structural model:
a = 12.0307 Å, b = 12.0307 Å, c = 15.2346 Å
α = 90.00°, β = 90.00°, γ = 120.00°
Space group R-3 (No. 148, hexagonal axes)
Asymmetric unit:
La 0.0000 0.0000 0.0000 x3
Sm 0.0072 0.1774 0.1919 x18
Sm 0.0451 0.1957 0.4163 x18
Tm 0.0119 0.5855 0.6849 x18

Main lines, by angle (2θ = 5–70°):
- 30.57°, rel. 39
- 31.20°, rel. 23
- 31.51°, rel. 100
- 32.71°, rel. 67
- 33.16°, rel. 29
- 34.66°, rel. 17
- 44.76°, rel. 12
- 52.67°, rel. 10
- 55.02°, rel. 18
- 57.82°, rel. 13